Entry 1:
This entry pairs a crystal structure of TbPrSbTe with its simulated X-ray diffraction stick pattern. Radiation: Cu Kα X-rays. Structure: the GGA-PBE geometry in Alexandria.
Lines closer than 0.1° are merged.

Cell and atoms:
Cell: 7.7766 7.7766 7.7766 Å, 33.34 33.34 33.34°
Positions (direct):
Tb  0.0000  0.0000  0.0000
Pr  0.5071  0.5071  0.5071
Sb  0.2572  0.2572  0.2572
Te  0.7498  0.7498  0.7498

Main lines, by angle (2θ = 10–90°):
2θ (°)  I (rel.)
28.22  100
40.23  38
40.43  38
49.70  7
50.03  20
58.36  13
65.92  17
66.20  18
73.39  13
73.52  6

***

Entry 2:
This entry pairs a crystal structure of Tb3PrTh2Sb6 with its simulated X-ray diffraction stick pattern. Radiation: Cu Kα X-rays. Structure: the GGA-PBE geometry in Alexandria.
Lines closer than 0.1° are merged.

Cell and atoms:
Cell: 9.9702 9.9702 8.9097 Å, 102.68 102.68 25.92°
Positions (direct):
Tb  0.0000  0.0000  0.0000
Tb  0.3346  0.3346  0.6667
Tb  0.6654  0.6654  0.3333
Pr  0.0000  0.0000  0.5000
Th  0.3343  0.3343  0.1688
Th  0.6657  0.6657  0.8312
Sb  0.1655  0.1655  0.0869
Sb  0.1693  0.1693  0.5797
Sb  0.4987  0.4987  0.7566
Sb  0.5013  0.5013  0.2434
Sb  0.8307  0.8307  0.4203
Sb  0.8345  0.8345  0.9131

Main lines, by angle (2θ = 10–90°):
2θ (°)  I (rel.)
28.28  100
40.35  39
40.49  38
50.00  21
50.23  7
58.49  13
66.13  12
66.31  18
73.39  11
73.47  9